Diffraction record for Ho2Zn3GaCu12. The powder X-ray diffraction pattern is computed, not measured: it uses a PBE-relaxed structure and CuKα.
Lines closer than 0.1° are merged.

Cell and atoms:
a b c (Å): 6.4973 6.4973 6.4973
angles (deg): 84.29 84.29 84.29
Fractional positions:
Ho  0.2062  0.2062  0.2062
Ho  0.7938  0.7938  0.7938
Zn  0.0000  0.5000  0.5000
Zn  0.5000  0.0000  0.5000
Zn  0.5000  0.5000  0.0000
Ga  0.5000  0.5000  0.5000
Cu  0.0835  0.0835  0.6364
Cu  0.0835  0.6364  0.0835
Cu  0.2233  0.6975  0.6975
Cu  0.3025  0.3025  0.7767
Cu  0.3025  0.7767  0.3025
Cu  0.3636  0.9165  0.9165
Cu  0.6364  0.0835  0.0835
Cu  0.6975  0.2233  0.6975
Cu  0.6975  0.6975  0.2233
Cu  0.7767  0.3025  0.3025
Cu  0.9165  0.3636  0.9165
Cu  0.9165  0.9165  0.3636

Principal peaks in the range 10° ≤ 2θ ≤ 80°, by angle:
2θ/deg, I/Imax
29.89, 27
34.64, 20
41.42, 100
43.87, 71
61.92, 23
77.26, 25


Diffraction record for SmAlCu4. The powder X-ray diffraction pattern is computed, not measured: it uses a PBE-relaxed structure and CuKα.
Lines closer than 0.1° are merged.

Cell and atoms:
a b c (Å): 5.2544 5.2544 4.0117
angles (deg): 90.00 90.00 120.00
Fractional positions:
Sm  0.0000  0.0000  0.0000
Al  0.3333  0.6667  0.0000
Cu  0.5009  0.0018  0.5000
Cu  0.5009  0.4991  0.5000
Cu  0.6667  0.3333  0.0000
Cu  0.9982  0.4991  0.5000

Principal peaks in the range 10° ≤ 2θ ≤ 80°, by angle:
2θ/deg, I/Imax
29.69, 74
34.13, 26
39.61, 54
41.07, 100
45.21, 26
61.64, 28


What did the first record say?
Diffraction record for Ho2Zn3GaCu12. The powder X-ray diffraction pattern is computed, not measured: it uses a PBE-relaxed structure and CuKα.
Lines closer than 0.1° are merged.

Cell and atoms:
a b c (Å): 6.4973 6.4973 6.4973
angles (deg): 84.29 84.29 84.29
Fractional positions:
Ho  0.2062  0.2062  0.2062
Ho  0.7938  0.7938  0.7938
Zn  0.0000  0.5000  0.5000
Zn  0.5000  0.0000  0.5000
Zn  0.5000  0.5000  0.0000
Ga  0.5000  0.5000  0.5000
Cu  0.0835  0.0835  0.6364
Cu  0.0835  0.6364  0.0835
Cu  0.2233  0.6975  0.6975
Cu  0.3025  0.3025  0.7767
Cu  0.3025  0.7767  0.3025
Cu  0.3636  0.9165  0.9165
Cu  0.6364  0.0835  0.0835
Cu  0.6975  0.2233  0.6975
Cu  0.6975  0.6975  0.2233
Cu  0.7767  0.3025  0.3025
Cu  0.9165  0.3636  0.9165
Cu  0.9165  0.9165  0.3636

Principal peaks in the range 10° ≤ 2θ ≤ 80°, by angle:
2θ/deg, I/Imax
29.89, 27
34.64, 20
41.42, 100
43.87, 71
61.92, 23
77.26, 25